Entry 1:
Theoretical powder diffraction line list of SrLiMg14 for copper Kα, from DFT lattice parameters and positions (GGA-PBE).
Kinematic intensities with the Lorentz-polarization factor, no thermal factor.

Principal peaks in the range 2θ from 10° to 90°, in order of rising 2θ:
two_theta, I (rel.)
17.70, 24.6
31.26, 25.0
34.60, 24.1
35.84, 100.0
47.31, 15.0
55.63, 18.3
62.80, 17.9
67.19, 19.2

```
16
Lattice="6.6089 0.0000 0.0000 -3.3044 5.7235 0.0000 0.0000 0.0000 10.3709" Properties=species:S:1:pos:R:3 pbc="T T T"
Sr 0.0000 0.0000 0.0000
Li 0.0000 0.0000 5.1854
Mg -1.6469 2.8648 5.1854
Mg -1.6148 2.8833 0.0000
Mg 0.0000 1.9442 2.7001
Mg 0.0000 1.9442 7.6708
Mg -1.6207 4.7514 2.7001
Mg -1.6207 4.7514 7.6708
Mg 1.6148 2.8833 0.0000
Mg 0.0000 5.6802 0.0000
Mg 1.6469 2.8648 5.1854
Mg 0.0000 5.7173 5.1854
Mg 1.6207 4.7514 2.7001
Mg 1.6207 4.7514 7.6708
Mg 3.3045 1.9078 2.5480
Mg 3.3045 1.9078 7.8229
```

=====

Entry 2:
Theoretical powder diffraction line list of NaCSN for copper Kα, from DFT lattice parameters and positions (GGA-PBE).
Kinematic intensities with the Lorentz-polarization factor, no thermal factor.

Principal peaks in the range 2θ from 10° to 90°, in order of rising 2θ:
two_theta, I (rel.)
24.82, 85.4
24.94, 44.7
26.56, 100.0
29.28, 58.7
29.38, 37.6
32.59, 48.8
38.51, 37.0
43.99, 35.9

```
16
Lattice="14.3504 0.0000 0.0000 0.0000 4.1170 0.0000 0.0000 0.0000 5.7937" Properties=species:S:1:pos:R:3 pbc="T T T"
Na 1.7463 1.0292 0.8904
Na 5.4289 3.0877 3.7873
Na 8.9215 1.0292 2.0064
Na 12.6042 3.0877 4.9032
C 1.8136 3.0877 3.2398
C 5.3616 1.0292 0.3430
C 8.9888 3.0877 5.4507
C 12.5368 1.0292 2.5539
S 2.5476 3.0877 4.7007
S 4.6277 1.0292 1.8039
S 9.7228 3.0877 3.9897
S 11.8029 1.0292 1.0929
N 1.3077 3.0877 2.1644
N 5.8675 1.0292 5.0612
N 8.4829 3.0877 0.7325
N 13.0428 1.0292 3.6293
```

=====

Entry 3:
Theoretical powder diffraction line list of CuSb2H12O6F8 for copper Kα, from DFT lattice parameters and positions (GGA-PBE).
Kinematic intensities with the Lorentz-polarization factor, no thermal factor.

Principal peaks in the range 2θ from 10° to 90°, in order of rising 2θ:
two_theta, I (rel.)
18.46, 42.4
19.40, 88.1
19.62, 93.5
20.27, 45.2
21.99, 100.0
25.88, 78.1
37.02, 43.1
40.24, 35.4

```
58
Lattice="5.0900 0.0000 0.0000 0.0000 18.1266 0.0000 -3.6416 0.0000 7.0070" Properties=species:S:1:pos:R:3 pbc="T T T"
Cu 0.0000 0.0000 0.0000
Cu -1.8208 9.0633 3.5035
Sb 0.1287 3.9493 3.4412
Sb -1.6921 5.1141 6.9447
Sb 3.1405 13.0126 0.0623
Sb 1.3197 14.1774 3.5658
H -2.0174 10.6708 5.4945
H -0.1965 16.5192 1.9910
H -2.2553 2.0328 6.0082
H -0.4345 7.0306 2.5047
H 0.1374 10.0663 2.2719
H -1.6834 17.1237 5.7754
H -0.3382 11.1844 3.3001
H -2.1590 16.0055 6.8036
H -0.2977 0.3943 4.7004
H 1.5232 8.6690 1.1969
H 1.2530 1.0892 2.4039
H -0.5678 7.9742 5.9075
H 2.0162 10.1525 1.0996
H 0.1954 17.0375 4.6031
H -0.0748 9.4576 5.8101
H 1.7460 17.7324 2.3066
H 3.6074 2.1211 0.2035
H 1.7866 6.9422 3.7070
H 3.1318 1.0029 1.2316
H 1.3110 8.0604 4.7352
H 1.8828 11.0961 4.5023
H 3.7037 16.0939 0.9988
H 1.6449 1.6075 5.0161
H 3.4657 7.4558 1.5125
O -2.8066 1.2653 5.6978
O -0.9858 7.7980 2.1943
O -0.6839 10.4721 2.7039
O -2.5047 16.7179 6.2074
O 1.5641 9.5140 1.7022
O -0.2567 17.6760 5.2057
O 1.7051 0.4507 1.8014
O -0.1157 8.6126 5.3049
O 3.9531 1.4088 0.7997
O 2.1323 7.6545 4.3032
O 2.4342 10.3287 4.8127
O 4.2550 16.8613 1.3092
F -2.1061 13.1326 5.9505
F -0.2853 14.0574 2.4470
F -1.0786 3.1844 6.3149
F 1.2337 3.4362 1.8655
F -0.5871 5.6271 5.3690
F 0.7422 5.8789 2.8114
F 0.4439 1.8363 3.8610
F 2.2648 7.2270 0.3574
F -0.8164 10.8996 6.6496
F 1.0044 16.2903 3.1461
F 0.7062 12.2477 4.1956
F 2.0355 12.4996 1.6380
F 0.2147 14.6904 5.1415
F 2.5270 14.9422 0.6921
F 1.7336 4.0693 4.5600
F 3.5545 4.9941 1.0565
```

=====

Entry 4:
Theoretical powder diffraction line list of FeCuTe2 for copper Kα, from DFT lattice parameters and positions (GGA-PBE).
Kinematic intensities with the Lorentz-polarization factor, no thermal factor.

Principal peaks in the range 2θ from 10° to 90°, in order of rising 2θ:
two_theta, I (rel.)
14.05, 17.0
27.03, 100.0
35.76, 21.7
43.80, 59.2
46.95, 25.5
49.33, 18.3
55.01, 27.3
85.01, 16.4

```
4
Lattice="3.8706 0.0000 0.0000 0.0000 3.8706 0.0000 0.0000 0.0000 6.3055" Properties=species:S:1:pos:R:3 pbc="T T T"
Fe 0.0000 0.0000 0.0000
Cu 1.9353 1.9353 0.0000
Te 0.0000 1.9353 1.7260
Te 1.9353 0.0000 4.5795
```

=====

Entry 5:
Theoretical powder diffraction line list of HgN2Cl2 for copper Kα, from DFT lattice parameters and positions (GGA-PBE).
Kinematic intensities with the Lorentz-polarization factor, no thermal factor.

Principal peaks in the range 2θ from 10° to 90°, in order of rising 2θ:
two_theta, I (rel.)
14.91, 100.0
18.51, 47.6
27.81, 41.4
30.36, 23.1
33.36, 32.9
38.42, 30.2
38.65, 21.5
51.08, 17.8

```
10
Lattice="7.5710 0.0000 0.0000 0.0000 9.5860 0.0000 0.0000 0.0000 3.8112" Properties=species:S:1:pos:R:3 pbc="T T T"
Hg 0.0000 0.0000 0.0000
Hg 3.7855 4.7930 0.0000
N 0.0000 2.6754 0.0000
N 0.0000 6.9106 0.0000
N 3.7855 2.1176 0.0000
N 3.7855 7.4685 0.0000
Cl 1.7830 0.0000 1.9056
Cl 2.0025 4.7930 1.9056
Cl 5.5685 4.7930 1.9056
Cl 5.7880 0.0000 1.9056
```

=====

Entry 6:
Theoretical powder diffraction line list of ZnHgTe2 for copper Kα, from DFT lattice parameters and positions (GGA-PBE).
Kinematic intensities with the Lorentz-polarization factor, no thermal factor.

Principal peaks in the range 2θ from 10° to 90°, in order of rising 2θ:
two_theta, I (rel.)
11.94, 10.2
23.97, 100.0
39.65, 79.7
46.86, 49.2
57.32, 13.3
62.99, 15.6
71.91, 20.4
77.04, 11.3

```
12
Lattice="4.5501 0.0000 0.0000 -2.2750 3.9405 0.0000 0.0000 0.0000 22.2409" Properties=species:S:1:pos:R:3 pbc="T T T"
Zn 0.0000 0.0000 0.0000
Zn 0.0000 2.6270 14.8273
Zn 2.2750 1.3135 7.4136
Hg 0.0000 0.0000 11.0897
Hg 0.0000 2.6270 3.6760
Hg 2.2750 1.3135 18.5033
Te 0.0000 0.0000 8.2195
Te 0.0000 0.0000 19.5735
Te 0.0000 2.6270 0.8059
Te 0.0000 2.6270 12.1599
Te 2.2750 1.3135 4.7462
Te 2.2750 1.3135 15.6331
```

=====

Entry 7:
Theoretical powder diffraction line list of NdAlGe for copper Kα, from DFT lattice parameters and positions (GGA-PBE).
Kinematic intensities with the Lorentz-polarization factor, no thermal factor.

Principal peaks in the range 2θ from 10° to 90°, in order of rising 2θ:
two_theta, I (rel.)
27.65, 41.2
32.00, 100.0
37.02, 45.6
42.28, 35.0
48.14, 21.8
57.44, 25.2
65.97, 16.8
70.87, 19.8

```
12
Lattice="4.2747 0.0000 0.0000 0.0000 4.2747 0.0000 0.0000 0.0000 14.7533" Properties=species:S:1:pos:R:3 pbc="T T T"
Nd 0.0000 0.0000 0.0000
Nd 0.0000 2.1374 3.6883
Nd 2.1374 0.0000 11.0650
Nd 2.1374 2.1374 7.3767
Al 0.0000 0.0000 8.6209
Al 0.0000 2.1374 12.3092
Al 2.1374 0.0000 4.9325
Al 2.1374 2.1374 1.2442
Ge 0.0000 0.0000 6.1677
Ge 0.0000 2.1374 9.8560
Ge 2.1374 0.0000 2.4793
Ge 2.1374 2.1374 13.5444
```

=====

Entry 8:
Theoretical powder diffraction line list of BaMg6AlO8 for copper Kα, from DFT lattice parameters and positions (GGA-PBE).
Kinematic intensities with the Lorentz-polarization factor, no thermal factor.

Principal peaks in the range 2θ from 10° to 90°, in order of rising 2θ:
two_theta, I (rel.)
10.02, 49.6
18.91, 32.6
21.44, 41.0
33.79, 46.5
38.36, 100.0
40.88, 37.7
55.37, 30.8
57.30, 50.5

```
16
Lattice="4.6932 0.0000 0.0000 0.0000 4.6932 0.0000 0.0000 0.0000 8.8306" Properties=species:S:1:pos:R:3 pbc="T T T"
Ba 0.0000 0.0000 0.0000
Mg 0.0000 0.0000 4.4153
Mg 0.0000 2.3466 2.3511
Mg 0.0000 2.3466 6.4795
Mg 2.3466 0.0000 2.3511
Mg 2.3466 0.0000 6.4795
Mg 2.3466 2.3466 4.4153
Al 2.3466 2.3466 0.0000
O 0.0000 0.0000 2.4944
O 0.0000 0.0000 6.3362
O 0.0000 2.3466 0.0000
O 0.0000 2.3466 4.4153
O 2.3466 0.0000 0.0000
O 2.3466 0.0000 4.4153
O 2.3466 2.3466 2.1610
O 2.3466 2.3466 6.6696
```